Computed powder diffraction line list
Compound: Sn4HgBr8
Radiation: λ = 1.5418 Å (Cu Kα)
Structure: a cell relaxed with PBE

Principal peaks in the range 2θ from 15° to 90°, most intense first:
2θ = 39.24°, d 2.296, rel. 100
2θ = 22.71°, d 3.916, rel. 77
2θ = 27.47°, d 3.247, rel. 67
2θ = 35.93°, d 2.499, rel. 65
2θ = 71.13°, d 1.325, rel. 27
2θ = 54.25°, d 1.691, rel. 22

Structural model:
a b c (Å): 12.987 12.987 12.987
angles (deg): 90.00 90.00 90.00
Space group F-43m (No. 216)
Asymmetric unit:
Sn 0.124 0.124 0.124 [16 per cell]
Hg 0.000 0.000 0.500 [4 per cell]
Br 0.112 0.112 0.888 [16 per cell]
Br 0.144 0.144 0.356 [16 per cell]



Computed powder diffraction line list
Compound: Sn4HgBr8
Radiation: λ = 1.5418 Å (Cu Kα)
Structure: a cell relaxed with PBE

Principal peaks in the range 2θ from 15° to 90°, most intense first:
2θ = 26.11°, d 3.413, rel. 100
2θ = 41.77°, d 2.163, rel. 88
2θ = 32.69°, d 2.739, rel. 83
2θ = 27.47°, d 3.247, rel. 80
2θ = 36.89°, d 2.436, rel. 59
2θ = 26.39°, d 3.377, rel. 53

Structural model:
a b c (Å): 21.400 4.376 14.544
angles (deg): 90.00 130.16 90.00
Space group Cm (No. 8)
Asymmetric unit:
Sn 0.000 0.000 0.000 [2 per cell]
Sn 0.015 0.500 0.368 [2 per cell]
Sn 0.191 0.000 0.708 [2 per cell]
Sn 0.207 0.500 0.075 [2 per cell]
Hg 0.352 0.500 0.537 [2 per cell]
Br 0.032 0.500 0.884 [2 per cell]
Br 0.060 0.500 0.602 [2 per cell]
Br 0.147 0.000 0.474 [2 per cell]
Br 0.175 0.000 0.191 [2 per cell]
Br 0.220 0.000 0.953 [2 per cell]
Br 0.308 0.500 0.778 [2 per cell]
Br 0.399 0.500 0.298 [2 per cell]
Br 0.486 0.000 0.122 [2 per cell]



Computed powder diffraction line list
Compound: Sn2HgBr4
Radiation: λ = 1.5418 Å (Cu Kα)
Structure: a cell relaxed with PBE

Principal peaks in the range 2θ from 15° to 90°, most intense first:
2θ = 27.20°, d 3.279, rel. 100
2θ = 28.32°, d 3.152, rel. 74
2θ = 16.61°, d 5.338, rel. 69
2θ = 29.55°, d 3.022, rel. 68
2θ = 35.39°, d 2.537, rel. 47
2θ = 34.48°, d 2.601, rel. 36

Structural model:
a b c (Å): 8.405 8.405 8.542
angles (deg): 106.34 106.39 91.98
Space group P1 (No. 1)
Asymmetric unit:
Sn 0.000 0.000 0.000 [1 per cell]
Sn 0.023 0.976 0.500 [1 per cell]
Sn 0.146 0.547 0.671 [1 per cell]
Sn 0.571 0.123 0.171 [1 per cell]
Hg 0.481 0.488 0.259 [1 per cell]
Hg 0.512 0.458 0.759 [1 per cell]
Br 0.188 0.189 0.842 [1 per cell]
Br 0.213 0.163 0.342 [1 per cell]
Br 0.251 0.745 0.008 [1 per cell]
Br 0.294 0.759 0.542 [1 per cell]
Br 0.759 0.832 0.124 [1 per cell]
Br 0.769 0.227 0.508 [1 per cell]
Br 0.783 0.271 0.043 [1 per cell]
Br 0.855 0.735 0.624 [1 per cell]



Computed powder diffraction line list
Compound: Tl2SnHgBr6
Radiation: λ = 1.5418 Å (Cu Kα)
Structure: a cell relaxed with PBE

Principal peaks in the range 2θ from 15° to 90°, most intense first:
2θ = 21.96°, d 4.047, rel. 100
2θ = 22.38°, d 3.973, rel. 80
2θ = 31.53°, d 2.838, rel. 76
2θ = 39.28°, d 2.294, rel. 58
2θ = 39.02°, d 2.309, rel. 50
2θ = 35.10°, d 2.557, rel. 45

Structural model:
a b c (Å): 7.936 7.950 8.091
angles (deg): 119.30 90.09 119.93
Space group P1 (No. 1)
Asymmetric unit:
Tl 0.000 0.000 0.000 [1 per cell]
Tl 0.499 0.999 0.500 [1 per cell]
Sn 0.717 0.434 0.150 [1 per cell]
Hg 0.217 0.436 0.653 [1 per cell]
Br 0.049 0.931 0.377 [1 per cell]
Br 0.372 0.917 0.868 [1 per cell]
Br 0.445 0.495 0.376 [1 per cell]
Br 0.544 0.495 0.866 [1 per cell]
Br 0.882 0.328 0.378 [1 per cell]
Br 0.952 0.324 0.868 [1 per cell]



Computed powder diffraction line list
Compound: TlSnHgBr6
Radiation: λ = 1.5418 Å (Cu Kα)
Structure: a cell relaxed with PBE

Principal peaks in the range 2θ from 15° to 90°, most intense first:
2θ = 18.05°, d 4.916, rel. 100
2θ = 27.14°, d 3.285, rel. 89
2θ = 17.92°, d 4.950, rel. 86
2θ = 31.53°, d 2.837, rel. 56
2θ = 37.85°, d 2.377, rel. 53
2θ = 16.61°, d 5.337, rel. 50

Structural model:
a b c (Å): 7.089 7.776 7.813
angles (deg): 63.21 85.78 79.82
Space group P1 (No. 1)
Asymmetric unit:
Tl 0.000 0.000 0.000 [1 per cell]
Sn 0.034 0.611 0.736 [1 per cell]
Hg 0.530 0.353 0.326 [1 per cell]
Br 0.217 0.911 0.662 [1 per cell]
Br 0.281 0.322 0.973 [1 per cell]
Br 0.332 0.643 0.339 [1 per cell]
Br 0.701 0.034 0.359 [1 per cell]
Br 0.778 0.657 0.983 [1 per cell]
Br 0.845 0.406 0.619 [1 per cell]



Computed powder diffraction line list
Compound: VSnHgBr6
Radiation: λ = 1.5418 Å (Cu Kα)
Structure: a cell relaxed with PBE

Principal peaks in the range 2θ from 15° to 90°, most intense first:
2θ = 17.76°, d 4.995, rel. 100
2θ = 32.68°, d 2.741, rel. 85
2θ = 27.42°, d 3.253, rel. 53
2θ = 44.85°, d 2.021, rel. 29
2θ = 40.69°, d 2.218, rel. 29
2θ = 48.85°, d 1.864, rel. 27

Structural model:
a b c (Å): 7.0003 7.0003 8.8117
angles (deg): 90.00 90.00 120.00
Space group P312 (No. 149)
Asymmetric unit:
V 0.0000 0.0000 0.0000 [1 per cell]
Sn 0.3333 0.6667 0.0000 [1 per cell]
Hg 0.6667 0.3333 0.5000 [1 per cell]
Br 0.0050 0.2942 0.8329 [6 per cell]



Computed powder diffraction line list
Compound: SrHgBr5
Radiation: λ = 1.5418 Å (Cu Kα)
Structure: a cell relaxed with PBE

Principal peaks in the range 2θ from 15° to 90°, most intense first:
2θ = 16.68°, d 5.316, rel. 100
2θ = 31.81°, d 2.813, rel. 61
2θ = 29.62°, d 3.016, rel. 55
2θ = 33.99°, d 2.637, rel. 46
2θ = 23.31°, d 3.816, rel. 43
2θ = 36.04°, d 2.492, rel. 41

Structural model:
a b c (Å): 10.247 11.250 9.286
angles (deg): 90.00 103.42 90.00
Space group C2/c (No. 15)
Asymmetric unit:
Sr 0.000 0.039 0.250 [4 per cell]
Hg 0.250 0.250 0.000 [4 per cell]
Br 0.000 0.245 0.750 [4 per cell]
Br 0.022 0.291 0.099 [8 per cell]
Br 0.207 0.005 0.048 [8 per cell]



Computed powder diffraction line list
Compound: TcHgBr4
Radiation: λ = 1.5418 Å (Cu Kα)
Structure: a cell relaxed with PBE

Principal peaks in the range 2θ from 15° to 90°, most intense first:
2θ = 25.60°, d 3.480, rel. 100
2θ = 31.63°, d 2.829, rel. 71
2θ = 34.12°, d 2.628, rel. 69
2θ = 24.81°, d 3.589, rel. 57
2θ = 43.17°, d 2.096, rel. 38
2θ = 43.09°, d 2.099, rel. 31

Structural model:
a b c (Å): 7.713 7.853 8.301
angles (deg): 113.78 97.68 108.74
Space group P-1 (No. 2)
Asymmetric unit:
Tc 0.157 0.059 0.038 [2 per cell]
Hg 0.311 0.631 0.084 [2 per cell]
Br 0.226 0.768 0.834 [2 per cell]
Br 0.246 0.210 0.826 [2 per cell]
Br 0.256 0.986 0.294 [2 per cell]
Br 0.279 0.422 0.286 [2 per cell]